For Ac3Sm, the PBE geometry in the Materials Project gives the calculated PXRD pattern in this record (Cu Kα X-rays).

Top 10 peaks for 10° ≤ 2θ ≤ 90°, by angle:
2theta	I/Imax
26.18	231
28.25	255
29.81	1000
38.89	166
46.19	205
50.98	232
55.02	246
55.94	176
75.39	148
89.19	101

```
Ac3Sm
1.0
7.8620 0.0000 0.0000
-3.9310 6.8087 0.0000
0.0000 0.0000 6.3190
Ac Sm
6 2
Direct
0.1685 0.3371 0.2500
0.1685 0.8315 0.2500
0.3371 0.1685 0.7500
0.6629 0.8315 0.2500
0.8315 0.1685 0.7500
0.8315 0.6629 0.7500
0.3333 0.6667 0.7500
0.6667 0.3333 0.2500
```



For HoAl10Fe2, the PBE geometry in the Materials Project gives the calculated PXRD pattern in this record (Cu Kα X-rays).

Top 10 peaks for 10° ≤ 2θ ≤ 90°, by angle:
2theta	I/Imax
13.22	360
16.52	418
28.22	420
28.45	387
32.87	314
34.86	322
37.34	362
40.43	1000
40.95	869
58.83	352

```
HoAl10Fe2
1.0
4.4648 -5.0658 0.0000
4.4648 5.0658 0.0000
0.0000 0.0000 8.9631
Ho Al Fe
2 20 4
Direct
0.1253 0.8747 0.7500
0.8747 0.1253 0.2500
0.1343 0.4152 0.7500
0.1570 0.8430 0.0967
0.1570 0.8430 0.4033
0.2205 0.4772 0.2500
0.2273 0.2273 0.0000
0.2273 0.2273 0.5000
0.3744 0.6256 0.5476
0.3744 0.6256 0.9524
0.4152 0.1343 0.2500
0.4772 0.2205 0.7500
0.5228 0.7795 0.2500
0.5848 0.8657 0.7500
0.6256 0.3744 0.0476
0.6256 0.3744 0.4524
0.7727 0.7727 0.0000
0.7727 0.7727 0.5000
0.7795 0.5228 0.7500
0.8430 0.1570 0.5967
0.8430 0.1570 0.9033
0.8657 0.5848 0.2500
0.0000 0.5000 0.0000
0.0000 0.5000 0.5000
0.5000 0.0000 0.0000
0.5000 0.0000 0.5000
```



For Nd3OsO7, the PBE geometry in the Materials Project gives the calculated PXRD pattern in this record (Cu Kα X-rays).

Top 10 peaks for 10° ≤ 2θ ≤ 90°, by angle:
2theta	I/Imax
26.40	100
28.53	1000
28.75	865
31.10	105
32.63	226
33.46	433
47.43	463
47.76	172
56.71	287
57.07	151

```
Nd3OsO7
1.0
5.4884 -3.7668 0.0000
5.4884 3.7668 0.0000
0.0000 0.0000 7.6167
Nd Os O
6 2 14
Direct
0.0000 0.0000 0.0000
0.0000 0.0000 0.5000
0.0791 0.4746 0.7500
0.4746 0.0791 0.2500
0.5254 0.9209 0.7500
0.9209 0.5254 0.2500
0.5000 0.5000 0.0000
0.5000 0.5000 0.5000
0.1067 0.1572 0.2500
0.1572 0.1067 0.7500
0.1885 0.5605 0.0383
0.1885 0.5605 0.4617
0.4166 0.5834 0.7500
0.4395 0.8115 0.0383
0.4395 0.8115 0.4617
0.5605 0.1885 0.5383
0.5605 0.1885 0.9617
0.5834 0.4166 0.2500
0.8115 0.4395 0.5383
0.8115 0.4395 0.9617
0.8428 0.8933 0.2500
0.8933 0.8428 0.7500
```



Repeat the first record exactly.
For Ac3Sm, the PBE geometry in the Materials Project gives the calculated PXRD pattern in this record (Cu Kα X-rays).

Top 10 peaks for 10° ≤ 2θ ≤ 90°, by angle:
2theta	I/Imax
26.18	231
28.25	255
29.81	1000
38.89	166
46.19	205
50.98	232
55.02	246
55.94	176
75.39	148
89.19	101

```
Ac3Sm
1.0
7.8620 0.0000 0.0000
-3.9310 6.8087 0.0000
0.0000 0.0000 6.3190
Ac Sm
6 2
Direct
0.1685 0.3371 0.2500
0.1685 0.8315 0.2500
0.3371 0.1685 0.7500
0.6629 0.8315 0.2500
0.8315 0.1685 0.7500
0.8315 0.6629 0.7500
0.3333 0.6667 0.7500
0.6667 0.3333 0.2500
```